Entry 1:
Starting from a crystal structure in the Materials Project, relaxed with GGA-PBE, the powder diffractogram of Na2UO4 was calculated for Cu Kα X-rays.
No peak broadening, texture or thermal motion is included.

Cell and atoms:
```
Na2UO4
1.0
5.843 0.000 0.000
0.000 6.008 0.000
0.000 0.000 11.904
Na U O
8 4 16
direct
0.001 0.053 0.164
0.001 0.447 0.664
0.499 0.553 0.164
0.499 0.947 0.664
0.501 0.053 0.336
0.501 0.447 0.836
0.999 0.553 0.336
0.999 0.947 0.836
0.000 0.000 0.500
0.000 0.500 0.000
0.500 0.000 0.000
0.500 0.500 0.500
0.107 0.536 0.846
0.107 0.964 0.346
0.204 0.709 0.545
0.204 0.791 0.045
0.296 0.209 0.545
0.296 0.291 0.045
0.393 0.036 0.846
0.393 0.464 0.346
0.607 0.536 0.654
0.607 0.964 0.154
0.704 0.709 0.955
0.704 0.791 0.455
0.796 0.209 0.955
0.796 0.291 0.455
0.893 0.036 0.654
0.893 0.464 0.154
```

Main lines, by angle (2θ = 10–90°):
| 2theta | d_spacing | I_rel | index |
| --- | --- | --- | --- |
| 14.9 | 5.952 | 67 | 0 0 2 |
| 22.5 | 3.951 | 100 | 1 1 1 |
| 29.7 | 3.004 | 19 | 0 2 0 |
| 30.6 | 2.921 | 17 | 2 0 0 |
| 31.0 | 2.881 | 59 | 1 1 3 |
| 34.2 | 2.623 | 12 | 2 0 2 |
| 43.2 | 2.094 | 17 | 2 2 0 |
| 43.7 | 2.070 | 17 | 1 1 5 |
| 45.9 | 1.976 | 17 | 2 2 2 |
| 48.7 | 1.871 | 15 | 1 3 1 |
| 53.6 | 1.710 | 13 | 1 3 3 |
| 54.7 | 1.679 | 17 | 3 1 3 |

---

Entry 2:
Starting from a crystal structure in the Materials Project, relaxed with GGA-PBE, the powder diffractogram of Na2UO3 was calculated for Cu Kα X-rays.
No peak broadening, texture or thermal motion is included.

Cell and atoms:
```
Na2UO3
1.0
3.682 0.000 0.000
0.101 5.791 0.000
1.476 2.602 5.543
Na U O
2 1 3
direct
0.000 0.000 0.000
0.271 0.248 0.290
0.640 0.640 0.682
0.080 0.704 0.840
0.543 0.273 0.892
0.745 0.974 0.400
```

Main lines, by angle (2θ = 10–90°):
| 2theta | d_spacing | I_rel | index |
| --- | --- | --- | --- |
| 16.0 | 5.543 | 85 | 0 0 1 |
| 16.9 | 5.242 | 59 | 0 1 0 |
| 17.7 | 5.020 | 100 | 0 1 1 |
| 25.0 | 3.564 | 30 | 1 0 0 |
| 26.1 | 3.411 | 32 | 1 0 1 |
| 28.0 | 3.191 | 36 | 0 1 -1 |
| 28.6 | 3.118 | 36 | 1 1 1 |
| 29.0 | 3.081 | 34 | 1 -1 0 |
| 29.4 | 3.042 | 34 | 0 1 2 |
| 33.1 | 2.706 | 22 | 1 0 -1 |
| 34.2 | 2.619 | 33 | 0 2 0 |
| 35.7 | 2.512 | 26 | 1 0 2 |